Entry 1:
Structure and theoretical powder diffractogram of Cu12Sb4SeS12 (a GGA-PBE-relaxed structure; Cu Kα).
Lines closer than 0.1° are merged.

Structural model:
```
data_Cu12Sb4SeS12
_chemical_formula_sum 'Cu12 Sb4 Se1 S12'
_cell_length_a 9.007
_cell_length_b 9.007
_cell_length_c 9.007
_cell_angle_alpha 109.47
_cell_angle_beta 109.47
_cell_angle_gamma 109.47
_space_group_name_H-M_alt 'P 1'
_space_group_IT_number 1
loop_
_space_group_symop_operation_xyz
'x,y,z'
loop_
_atom_site_label
_atom_site_type_symbol
_atom_site_fract_x
_atom_site_fract_y
_atom_site_fract_z
Cu1 Cu 0.000 0.236 0.236
Cu2 Cu 0.000 0.764 0.764
Cu3 Cu 0.236 0.000 0.236
Cu4 Cu 0.236 0.236 0.000
Cu5 Cu 0.250 0.500 0.750
Cu6 Cu 0.250 0.750 0.500
Cu7 Cu 0.500 0.250 0.750
Cu8 Cu 0.500 0.750 0.250
Cu9 Cu 0.750 0.250 0.500
Cu10 Cu 0.750 0.500 0.250
Cu11 Cu 0.764 0.000 0.764
Cu12 Cu 0.764 0.764 0.000
Sb1 Sb 0.000 0.000 0.548
Sb2 Sb 0.000 0.548 0.000
Sb3 Sb 0.452 0.452 0.452
Sb4 Sb 0.548 0.000 0.000
Se1 Se 0.000 0.000 0.000
S1 S 0.000 0.249 0.487
S2 S 0.000 0.487 0.249
S3 S 0.238 0.751 0.751
S4 S 0.249 0.000 0.487
S5 S 0.249 0.487 0.000
S6 S 0.487 0.000 0.249
S7 S 0.487 0.249 0.000
S8 S 0.513 0.513 0.762
S9 S 0.513 0.762 0.513
S10 S 0.751 0.238 0.751
S11 S 0.751 0.751 0.238
S12 S 0.762 0.513 0.513
```

Main lines, in order of falling intensity (10° ≤ 2θ ≤ 90°):
2θ = 29.76°, rel. 100.0
2θ = 49.58°, rel. 57.2
2θ = 58.90°, rel. 28.6
2θ = 34.49°, rel. 27.2
2θ = 32.20°, rel. 14.8
2θ = 36.66°, rel. 13.0
2θ = 54.38°, rel. 11.4
2θ = 44.41°, rel. 10.2
2θ = 24.20°, rel. 9.9
2θ = 80.51°, rel. 9.8

---

Entry 2:
Structure and theoretical powder diffractogram of Pr3Cu2Si4Pd2 (a GGA-PBE-relaxed structure; Cu Kα).
Lines closer than 0.1° are merged.

Structural model:
```
data_Pr3Cu2Si4Pd2
_chemical_formula_sum 'Pr3 Cu2 Si4 Pd2'
_cell_length_a 12.611
_cell_length_b 12.611
_cell_length_c 12.611
_cell_angle_alpha 160.98
_cell_angle_beta 160.72
_cell_angle_gamma 27.22
_space_group_name_H-M_alt 'P 1'
_space_group_IT_number 1
loop_
_space_group_symop_operation_xyz
'x,y,z'
loop_
_atom_site_label
_atom_site_type_symbol
_atom_site_fract_x
_atom_site_fract_y
_atom_site_fract_z
Pr1 Pr 0.000 0.000 0.000
Pr2 Pr 0.348 0.848 0.500
Pr3 Pr 0.652 0.152 0.500
Cu1 Cu 0.249 0.249 0.000
Cu2 Cu 0.751 0.751 0.000
Si1 Si 0.198 0.698 0.500
Si2 Si 0.451 0.451 0.000
Si3 Si 0.549 0.549 0.000
Si4 Si 0.802 0.302 0.500
Pd1 Pd 0.098 0.598 0.500
Pd2 Pd 0.902 0.402 0.500
```

Main lines, in order of falling intensity (10° ≤ 2θ ≤ 90°):
2θ = 33.56°, rel. 100.0
2θ = 33.42°, rel. 35.1
2θ = 39.36°, rel. 22.6
2θ = 42.82°, rel. 22.4
2θ = 43.42°, rel. 21.5
2θ = 23.71°, rel. 19.4
2θ = 28.10°, rel. 18.1
2θ = 55.37°, rel. 16.4
2θ = 62.62°, rel. 14.1
2θ = 68.98°, rel. 13.8

---

What did the first record say?
Structure and theoretical powder diffractogram of Cu12Sb4SeS12 (a GGA-PBE-relaxed structure; Cu Kα).
Lines closer than 0.1° are merged.

Structural model:
```
data_Cu12Sb4SeS12
_chemical_formula_sum 'Cu12 Sb4 Se1 S12'
_cell_length_a 9.007
_cell_length_b 9.007
_cell_length_c 9.007
_cell_angle_alpha 109.47
_cell_angle_beta 109.47
_cell_angle_gamma 109.47
_space_group_name_H-M_alt 'P 1'
_space_group_IT_number 1
loop_
_space_group_symop_operation_xyz
'x,y,z'
loop_
_atom_site_label
_atom_site_type_symbol
_atom_site_fract_x
_atom_site_fract_y
_atom_site_fract_z
Cu1 Cu 0.000 0.236 0.236
Cu2 Cu 0.000 0.764 0.764
Cu3 Cu 0.236 0.000 0.236
Cu4 Cu 0.236 0.236 0.000
Cu5 Cu 0.250 0.500 0.750
Cu6 Cu 0.250 0.750 0.500
Cu7 Cu 0.500 0.250 0.750
Cu8 Cu 0.500 0.750 0.250
Cu9 Cu 0.750 0.250 0.500
Cu10 Cu 0.750 0.500 0.250
Cu11 Cu 0.764 0.000 0.764
Cu12 Cu 0.764 0.764 0.000
Sb1 Sb 0.000 0.000 0.548
Sb2 Sb 0.000 0.548 0.000
Sb3 Sb 0.452 0.452 0.452
Sb4 Sb 0.548 0.000 0.000
Se1 Se 0.000 0.000 0.000
S1 S 0.000 0.249 0.487
S2 S 0.000 0.487 0.249
S3 S 0.238 0.751 0.751
S4 S 0.249 0.000 0.487
S5 S 0.249 0.487 0.000
S6 S 0.487 0.000 0.249
S7 S 0.487 0.249 0.000
S8 S 0.513 0.513 0.762
S9 S 0.513 0.762 0.513
S10 S 0.751 0.238 0.751
S11 S 0.751 0.751 0.238
S12 S 0.762 0.513 0.513
```

Main lines, in order of falling intensity (10° ≤ 2θ ≤ 90°):
2θ = 29.76°, rel. 100.0
2θ = 49.58°, rel. 57.2
2θ = 58.90°, rel. 28.6
2θ = 34.49°, rel. 27.2
2θ = 32.20°, rel. 14.8
2θ = 36.66°, rel. 13.0
2θ = 54.38°, rel. 11.4
2θ = 44.41°, rel. 10.2
2θ = 24.20°, rel. 9.9
2θ = 80.51°, rel. 9.8

---

Q: What is the formula in the second record?
A: Pr3Cu2Si4Pd2